1.
Theoretical powder diffractogram
Compound: TbRuPt
Radiation: Cu Kα
Structure: DFT lattice parameters and positions (PBE)

Atomic structure:
Cell: 9.8493 5.6261 4.5644 Å, 90.00 117.25 90.00°
Space group C2/m (No. 12)
Asymmetric unit:
Tb (0.1259, 0.0000, 0.3759)
Ru (0.0526, 0.5000, 0.3015)
Pt (0.2500, 0.2500, 0.0000)

Most intense lines, 10 to 90 degrees two-theta, in order of rising 2θ:
2θ 20.28, rel. 13.8
2θ 34.62, rel. 17.5
2θ 36.44, rel. 39.7
2θ 36.65, rel. 39.2
2θ 38.02, rel. 34.7
2θ 38.99, rel. 100.0
2θ 39.49, rel. 43.4
2θ 53.01, rel. 19.2
2θ 55.87, rel. 11.5
2θ 56.09, rel. 14.5
2θ 69.52, rel. 11.9
2θ 80.16, rel. 11.2


2.
Theoretical powder diffractogram
Compound: Tb4RuPt2
Radiation: Cu Kα
Structure: DFT lattice parameters and positions (PBE)

Atomic structure:
Cell: 6.9594 9.8525 4.8235 Å, 90.00 90.00 90.00°
Space group Cmmm (No. 65)
Asymmetric unit:
Tb (0.2484, 0.0000, 0.0000)
Tb (0.2500, 0.2500, 0.5000)
Ru (0.0000, 0.0000, 0.5000)
Pt (0.0000, 0.2495, 0.0000)

Most intense lines, 10 to 90 degrees two-theta, in order of rising 2θ:
2θ 18.01, rel. 8.9
2θ 18.39, rel. 8.5
2θ 36.48, rel. 25.4
2θ 36.70, rel. 100.0
2θ 37.28, rel. 24.0
2θ 52.60, rel. 9.0
2θ 53.15, rel. 17.4
2θ 65.77, rel. 27.5
2θ 66.24, rel. 9.0
2θ 66.86, rel. 17.4
2θ 78.05, rel. 11.3
2θ 89.06, rel. 8.4


3.
Theoretical powder diffractogram
Compound: Tb8Ru3Pt2
Radiation: Cu Kα
Structure: DFT lattice parameters and positions (PBE)

Atomic structure:
Cell: 9.6985 13.7728 4.8394 Å, 90.00 90.00 90.00°
Space group Cmmm (No. 65)
Asymmetric unit:
Tb (0.0000, 0.1197, 0.0000)
Tb (0.0000, 0.3781, 0.0000)
Tb (0.2495, 0.3801, 0.5000)
Ru (0.0000, 0.5000, 0.5000)
Ru (0.2492, 0.5000, 0.0000)
Pt (0.0000, 0.2494, 0.5000)

Most intense lines, 10 to 90 degrees two-theta, in order of rising 2θ:
2θ 18.31, rel. 4.6
2θ 22.44, rel. 18.0
2θ 26.01, rel. 8.5
2θ 37.03, rel. 100.0
2θ 37.16, rel. 20.0
2θ 43.81, rel. 6.3
2θ 53.20, rel. 6.9
2θ 53.50, rel. 14.0
2θ 66.65, rel. 13.9
2θ 66.79, rel. 14.2
2θ 66.90, rel. 14.2
2θ 78.83, rel. 8.7